Simulated powder diffractogram
Compound: AcLaY14
Radiation: Cu Kα X-rays
Structure: a structure optimized by DFT (GGA-PBE)

Largest 8 diffraction maxima, by angle, 2θ from 10° to 80°:
- 2θ = 29.39°, I = 56, hkl 1 2 2
- 2θ = 29.53°, I = 28, hkl 1 0 4
- 2θ = 30.65°, I = 53, hkl 4 0 0
- 2θ = 32.32°, I = 100, hkl 2 2 2
- 2θ = 32.44°, I = 48, hkl 2 0 4
- 2θ = 36.73°, I = 30, hkl 3 2 2
- 2θ = 55.58°, I = 30, hkl 6 2 2
- 2θ = 60.13°, I = 30, hkl 4 2 6

Crystal structure
Cell lengths 11.667, 7.281, 12.529 Å; angles 90.00, 90.00, 90.00 degrees
Space group Amm2 (No. 38)
Unique sites:
Ac: 0.000 0.000 0.000 x2
La: 0.000 0.000 0.501 x2
Y: 0.000 0.249 0.251 x4
Y: 0.252 0.000 0.669 x4
Y: 0.254 0.000 0.169 x4
Y: 0.257 0.249 0.417 x8
Y: 0.500 0.000 0.335 x2
Y: 0.500 0.000 0.834 x2
Y: 0.500 0.249 0.586 x4